[1]
Simulated powder XRD pattern
Compound: K3LuB2O6
Radiation: CuKα
Structure: a cell relaxed with GGA-PBE
Peak positions follow from Bragg's law for the DFT cell and can differ from measured ones.

Structure:
```
K3LuB2O6
1.0
6.840 0.000 0.000
0.000 9.294 0.000
0.000 0.000 5.516
K Lu B O
6 2 4 12
Cartesian
0.000 0.000 0.000 K
1.559 3.095 0.000 K
1.861 7.742 2.758 K
3.420 4.647 2.758 K
4.979 1.552 2.758 K
5.281 6.199 0.000 K
0.000 4.647 2.758 Lu
3.420 0.000 0.000 Lu
1.598 6.198 0.000 B
1.821 1.551 2.758 B
5.018 7.743 2.758 B
5.241 3.096 0.000 B
1.288 2.841 2.758 O
1.324 5.552 1.208 O
1.324 5.552 4.308 O
2.096 0.905 1.550 O
2.096 0.905 3.966 O
2.132 7.488 0.000 O
4.708 1.806 0.000 O
4.744 8.389 1.550 O
4.744 8.389 3.966 O
5.516 3.742 1.208 O
5.516 3.742 4.308 O
5.552 6.453 2.758 O
```

The 8 most intense peaks (2θ = 5–70°), in order of rising 2θ:
- (1 1 0), 2θ 16.1, I = 100
- (0 1 1), 2θ 18.7, I = 72
- (0 2 0), 2θ 19.1, I = 32
- (1 0 1), 2θ 20.7, I = 33
- (2 1 1), 2θ 32.3, I = 96
- (0 0 2), 2θ 32.5, I = 76
- (0 3 1), 2θ 33.2, I = 54
- (2 2 2), 2θ 46.6, I = 42

[2]
Simulated powder XRD pattern
Compound: CdInRh
Radiation: CuKα
Structure: a cell relaxed with GGA-PBE
Peak positions follow from Bragg's law for the DFT cell and can differ from measured ones.

Structure:
```
CdInRh
1.0
4.612 0.000 0.000
0.000 6.049 0.000
0.000 0.000 9.278
Cd In Rh
4 4 4
Cartesian
0.000 0.000 0.000 Cd
0.000 3.025 4.639 Cd
2.306 0.000 2.155 Cd
2.306 3.025 6.794 Cd
0.000 0.000 4.538 In
0.000 3.025 9.177 In
2.306 0.000 7.015 In
2.306 3.025 2.377 In
0.000 1.466 6.911 Rh
0.000 1.559 2.272 Rh
0.000 4.490 2.272 Rh
0.000 4.583 6.911 Rh
```

The 8 most intense peaks (2θ = 5–70°), in order of rising 2θ:
- (0 0 2), 2θ 19.1, I = 17
- (1 0 0), 2θ 19.2, I = 17
- (1 0 2), 2θ 27.3, I = 20
- (0 2 2), 2θ 35.5, I = 15
- (0 0 4), 2θ 38.8, I = 28
- (2 0 0), 2θ 39.1, I = 28
- (1 2 2), 2θ 40.6, I = 100
- (2 0 4), 2θ 56.3, I = 18